Record 1
Theoretical powder XRD pattern
Compound: Rb3CaPa3Te8
Radiation: Cu Kα
Structure: a GGA-PBE-relaxed structure
Kinematic intensities with the Lorentz-polarization factor, no thermal factor.

Top 6 peaks for 2θ from 10° to 90°, in order of rising 2θ:
| 2θ (°) | Rel. int. |
| --- | --- |
| 10.11 | 47 |
| 26.67 | 100 |
| 33.21 | 19 |
| 35.83 | 36 |
| 40.21 | 36 |
| 48.90 | 19 |

Structural model:
Cell: 10.1642 10.1642 10.1642 Å, 52.38 52.38 52.38°
Fractional positions:
Rb: 0.0000 0.5000 0.5000
Rb: 0.5000 0.0000 0.5000
Rb: 0.5000 0.5000 0.0000
Ca: 0.5000 0.5000 0.5000
Pa: 0.0000 0.0000 0.5000
Pa: 0.0000 0.5000 0.0000
Pa: 0.5000 0.0000 0.0000
Te: 0.2223 0.7397 0.7397
Te: 0.2343 0.2343 0.2343
Te: 0.2603 0.2603 0.7777
Te: 0.2603 0.7777 0.2603
Te: 0.7397 0.2223 0.7397
Te: 0.7397 0.7397 0.2223
Te: 0.7657 0.7657 0.7657
Te: 0.7777 0.2603 0.2603

Record 2
Theoretical powder XRD pattern
Compound: Sr2LiCl
Radiation: Cu Kα
Structure: a GGA-PBE-relaxed structure
Kinematic intensities with the Lorentz-polarization factor, no thermal factor.

Top 6 peaks for 2θ from 10° to 90°, in order of rising 2θ:
| 2θ (°) | Rel. int. |
| --- | --- |
| 25.24 | 51 |
| 25.47 | 26 |
| 26.65 | 65 |
| 30.53 | 100 |
| 42.96 | 27 |
| 47.90 | 27 |

Structural model:
Cell: 4.0753 7.0561 10.4927 Å, 90.00 90.00 90.00°
Fractional positions:
Sr: 0.0000 0.0000 0.0000
Sr: 0.0000 0.5000 0.3327
Sr: 0.5000 0.0000 0.3327
Sr: 0.5000 0.5000 0.0000
Li: 0.0000 0.0000 0.6329
Li: 0.5000 0.5000 0.6329
Cl: 0.0000 0.5000 0.7805
Cl: 0.5000 0.0000 0.7805

Record 3
Theoretical powder XRD pattern
Compound: DyPdO3
Radiation: Cu Kα
Structure: a GGA-PBE-relaxed structure
Kinematic intensities with the Lorentz-polarization factor, no thermal factor.

Top 6 peaks for 2θ from 10° to 90°, in order of rising 2θ:
| 2θ (°) | Rel. int. |
| --- | --- |
| 29.71 | 98 |
| 31.75 | 100 |
| 33.11 | 33 |
| 37.10 | 29 |
| 50.19 | 27 |
| 50.57 | 27 |

Structural model:
Cell: 6.2654 6.2654 9.8573 Å, 117.64 117.64 51.16°
Fractional positions:
Dy: 0.1942 0.2875 0.1370
Dy: 0.2875 0.1942 0.6370
Dy: 0.7125 0.8058 0.3630
Dy: 0.8058 0.7125 0.8630
Pd: 0.0132 0.9868 0.7500
Pd: 0.5000 0.5000 0.0000
Pd: 0.5000 0.5000 0.5000
Pd: 0.9868 0.0132 0.2500
O: 0.1329 0.6862 0.3356
O: 0.1772 0.6369 0.8079
O: 0.2648 0.3439 0.9599
O: 0.3138 0.8671 0.1644
O: 0.3439 0.2648 0.4599
O: 0.3631 0.8228 0.6921
O: 0.6369 0.1772 0.3079
O: 0.6561 0.7352 0.5401
O: 0.6862 0.1329 0.8356
O: 0.7352 0.6561 0.0401
O: 0.8228 0.3631 0.1921
O: 0.8671 0.3138 0.6644

Record 4
Theoretical powder XRD pattern
Compound: TlGa4Au6
Radiation: Cu Kα
Structure: a GGA-PBE-relaxed structure
Kinematic intensities with the Lorentz-polarization factor, no thermal factor.

Top 6 peaks for 2θ from 10° to 90°, in order of rising 2θ:
| 2θ (°) | Rel. int. |
| --- | --- |
| 28.40 | 28 |
| 30.30 | 28 |
| 33.56 | 54 |
| 35.46 | 53 |
| 37.87 | 30 |
| 42.01 | 100 |

Structural model:
Cell: 7.2580 7.2580 5.0635 Å, 90.00 90.00 120.00°
Fractional positions:
Tl: 0.0000 0.0000 0.0000
Ga: 0.0154 0.5947 0.5000
Ga: 0.4053 0.4207 0.5000
Ga: 0.5793 0.9846 0.5000
Ga: 0.6667 0.3333 0.0000
Au: 0.0736 0.4935 0.0000
Au: 0.2422 0.0095 0.5000
Au: 0.4199 0.9264 0.0000
Au: 0.5065 0.5801 0.0000
Au: 0.7672 0.7578 0.5000
Au: 0.9905 0.2328 0.5000

Record 5
Theoretical powder XRD pattern
Compound: Zr2CuSbPd
Radiation: Cu Kα
Structure: a GGA-PBE-relaxed structure
Kinematic intensities with the Lorentz-polarization factor, no thermal factor.

Top 6 peaks for 2θ from 10° to 90°, in order of rising 2θ:
| 2θ (°) | Rel. int. |
| --- | --- |
| 26.07 | 49 |
| 31.62 | 85 |
| 35.59 | 100 |
| 38.74 | 39 |
| 51.22 | 34 |
| 53.62 | 60 |

Structural model:
Cell: 5.0446 5.0446 4.6483 Å, 90.00 90.00 90.00°
Fractional positions:
Zr: 0.0000 0.5000 0.0000
Zr: 0.5000 0.0000 0.0000
Cu: 0.0000 0.0000 0.5000
Sb: 0.5000 0.5000 0.5000
Pd: 0.0000 0.0000 0.0000

Record 6
Theoretical powder XRD pattern
Compound: TlCrAg2Cl8
Radiation: Cu Kα
Structure: a GGA-PBE-relaxed structure
Kinematic intensities with the Lorentz-polarization factor, no thermal factor.

Top 6 peaks for 2θ from 10° to 90°, in order of rising 2θ:
| 2θ (°) | Rel. int. |
| --- | --- |
| 18.92 | 100 |
| 21.02 | 67 |
| 26.92 | 32 |
| 27.21 | 56 |
| 38.84 | 48 |
| 41.05 | 39 |

Structural model:
Cell: 6.1958 6.4384 7.7390 Å, 89.97 89.95 84.05°
Fractional positions:
Tl: 0.0000 0.0000 0.0000
Cr: 0.0000 0.0000 0.5000
Ag: 0.4988 0.4992 0.2616
Ag: 0.5012 0.5008 0.7384
Cl: 0.2073 0.1439 0.7173
Cl: 0.2079 0.1436 0.2823
Cl: 0.2451 0.6895 0.5003
Cl: 0.2678 0.6625 0.9998
Cl: 0.7322 0.3375 0.0002
Cl: 0.7549 0.3105 0.4997
Cl: 0.7921 0.8564 0.7177
Cl: 0.7927 0.8561 0.2827

Record 7
Theoretical powder XRD pattern
Compound: Pr8ErGa6
Radiation: Cu Kα
Structure: a GGA-PBE-relaxed structure
Kinematic intensities with the Lorentz-polarization factor, no thermal factor.

Top 6 peaks for 2θ from 10° to 90°, in order of rising 2θ:
| 2θ (°) | Rel. int. |
| --- | --- |
| 24.39 | 65 |
| 34.63 | 100 |
| 34.91 | 96 |
| 49.99 | 35 |
| 61.87 | 18 |
| 62.42 | 35 |

Structural model:
Cell: 8.1860 8.1860 8.1860 Å, 65.89 65.89 65.89°
Fractional positions:
Pr: 0.0527 0.3868 0.7203
Pr: 0.1659 0.1659 0.1659
Pr: 0.2797 0.9473 0.6132
Pr: 0.3868 0.7203 0.0527
Pr: 0.6132 0.2797 0.9473
Pr: 0.7203 0.0527 0.3868
Pr: 0.8341 0.8341 0.8341
Pr: 0.9473 0.6132 0.2797
Er: 0.5000 0.5000 0.5000
Ga: 0.1207 0.7695 0.4456
Ga: 0.2305 0.5544 0.8793
Ga: 0.4456 0.1207 0.7695
Ga: 0.5544 0.8793 0.2305
Ga: 0.7695 0.4456 0.1207
Ga: 0.8793 0.2305 0.5544

> Which formula does entry 6 have?

TlCrAg2Cl8